Entry 1:
Diffraction record for NaScSnO4. The PXRD pattern is computed, not measured: it uses DFT lattice parameters and positions (GGA-PBE) and Cu Kα, 1.54184 Å.
Peak positions follow from Bragg's law for the DFT cell and can differ from measured ones.

Peak list (8 most intense, 10 to 80 degrees two-theta, sorted by position)
d [Å]  Rel. int.
4.881  100
4.813  76
2.832  49
2.792  82
2.663  97
2.651  47
1.936  51
1.588  51

Lattice parameters (Å, degrees): 3.177 11.327 9.626 90.00 90.00 90.00
Space group Pmc2_1 (No. 26)
Asymmetric unit:
Na 0.000 0.103 0.000 [2 per cell]
Na 0.500 0.392 0.513 [2 per cell]
Sc 0.500 0.146 0.682 [2 per cell]
Sc 0.500 0.363 0.191 [2 per cell]
Sn 0.000 0.135 0.322 [2 per cell]
Sn 0.000 0.358 0.846 [2 per cell]
O 0.000 0.038 0.749 [2 per cell]
O 0.000 0.270 0.652 [2 per cell]
O 0.000 0.319 0.332 [2 per cell]
O 0.000 0.409 0.054 [2 per cell]
O 0.500 0.100 0.464 [2 per cell]
O 0.500 0.170 0.181 [2 per cell]
O 0.500 0.237 0.884 [2 per cell]
O 0.500 0.469 0.789 [2 per cell]

Entry 2:
Diffraction record for KSr2Cl5. The PXRD pattern is computed, not measured: it uses DFT lattice parameters and positions (GGA-PBE) and Cu Kα, 1.54184 Å.
Peak positions follow from Bragg's law for the DFT cell and can differ from measured ones.

Peak list (8 most intense, 10 to 80 degrees two-theta, sorted by position)
d [Å]  Rel. int.
3.783  53
3.737  41
3.681  38
2.896  61
2.701  100
2.618  55
2.241  45
2.152  63

Lattice parameters (Å, degrees): 8.965 7.951 12.902 90.00 90.05 90.00
Space group P2_1/c (No. 14)
Asymmetric unit:
K 0.009 0.037 0.329 [4 per cell]
Sr 0.250 0.564 0.495 [4 per cell]
Sr 0.498 0.520 0.177 [4 per cell]
Cl 0.033 0.164 0.092 [4 per cell]
Cl 0.272 0.694 0.714 [4 per cell]
Cl 0.284 0.549 0.997 [4 per cell]
Cl 0.285 0.172 0.818 [4 per cell]
Cl 0.464 0.158 0.102 [4 per cell]

Entry 3:
Diffraction record for Sr3TaCu2O8. The PXRD pattern is computed, not measured: it uses DFT lattice parameters and positions (GGA-PBE) and Cu Kα, 1.54184 Å.
Peak positions follow from Bragg's law for the DFT cell and can differ from measured ones.

Peak list (8 most intense, 10 to 80 degrees two-theta, sorted by position)
d [Å]  Rel. int.
7.312  32
2.931  83
2.831  100
2.036  44
1.713  17
1.653  31
1.634  19
1.415  16

Lattice parameters (Å, degrees): 5.6619 5.6619 7.3116 90.00 90.00 120.00
Space group P-3m1 (No. 164)
Asymmetric unit:
Sr 0.0000 0.0000 0.0000 [1 per cell]
Sr 0.3333 0.6667 0.6315 [2 per cell]
Ta 0.0000 0.0000 0.5000 [1 per cell]
Cu 0.3333 0.6667 0.1935 [2 per cell]
O 0.1633 0.3267 0.3389 [6 per cell]
O 0.3333 0.6667 0.9515 [2 per cell]

Entry 4:
Diffraction record for Nd2CoSi. The PXRD pattern is computed, not measured: it uses DFT lattice parameters and positions (GGA-PBE) and Cu Kα, 1.54184 Å.
Peak positions follow from Bragg's law for the DFT cell and can differ from measured ones.

Peak list (8 most intense, 10 to 80 degrees two-theta, sorted by position)
d [Å]  Rel. int.
7.373  31
3.686  29
3.465  83
2.962  52
2.749  100
2.348  57
2.025  64
1.363  34

Lattice parameters (Å, degrees): 4.0507 4.0507 22.1185 90.00 90.00 120.00
Space group R3m (No. 160, hexagonal axes)
Asymmetric unit:
Nd 0.0000 0.0000 0.0000 [3 per cell]
Nd 0.0000 0.0000 0.1692 [3 per cell]
Co 0.0000 0.0000 0.7518 [3 per cell]
Si 0.0000 0.0000 0.4169 [3 per cell]

Entry 5:
Diffraction record for Re5Rh. The PXRD pattern is computed, not measured: it uses DFT lattice parameters and positions (GGA-PBE) and Cu Kα, 1.54184 Å.
Peak positions follow from Bragg's law for the DFT cell and can differ from measured ones.

Peak list (8 most intense, 10 to 80 degrees two-theta, sorted by position)
d [Å]  Rel. int.
5.890  2
2.681  1
2.494  1
2.255  100
1.963  17
1.947  32
1.383  21
1.377  11

Lattice parameters (Å, degrees): 2.754 2.754 11.781 90.00 90.00 90.00
Space group P4/mmm (No. 123)
Asymmetric unit:
Re 0.000 0.000 0.000 [1 per cell]
Re 0.000 0.000 0.333 [2 per cell]
Re 0.500 0.500 0.169 [2 per cell]
Rh 0.500 0.500 0.500 [1 per cell]